For TmBeCu4, the GGA-PBE geometry in the Materials Project gives the calculated X-ray powder pattern in this record (λ = 1.5418 Å (Cu Kα)).
Neutral-atom scattering factors, no anomalous dispersion.

Principal peaks in the range 5° ≤ 2θ ≤ 70°, sorted by position:
- 22.1°, intensity 49
- 25.8°, intensity 38
- 36.2°, intensity 34
- 37.4°, intensity 93
- 42.8°, intensity 100
- 43.3°, intensity 88
- 44.4°, intensity 40
- 45.0°, intensity 34

Structure:
```
TmBeCu4
1.0
2.482 1.433 3.863
-2.482 1.433 3.863
0.000 -2.866 3.863
Tm Be Cu
1 1 4
Direct
0.000 0.000 0.000
0.382 0.382 0.382
0.379 0.379 0.874
0.379 0.874 0.379
0.748 0.748 0.748
0.874 0.379 0.379
```